No. 1
For ThHgPb, a structure optimized by DFT (GGA-PBE) gives the theoretical powder diffractogram in this record (λ = 1.5418 Å (Cu Kα)).
Peak positions follow from Bragg's law for the DFT cell and can differ from measured ones.

Peak list (10 most intense, 10° ≤ 2θ ≤ 90°, in order of rising 2θ)
- 2θ 29.72, 3.006 Å, I 100.0
- 2θ 37.16, 2.420 Å, I 57.2
- 2θ 47.39, 1.918 Å, I 26.3
- 2θ 48.28, 1.885 Å, I 27.0
- 2θ 61.71, 1.503 Å, I 12.1
- 2θ 62.46, 1.487 Å, I 25.4
- 2θ 66.99, 1.397 Å, I 10.6
- 2θ 74.28, 1.277 Å, I 14.3
- 2θ 77.15, 1.236 Å, I 8.4
- 2θ 86.77, 1.122 Å, I 10.9

Cell and atoms:
Lattice parameters (Å, degrees): 4.839 4.839 4.315 90.00 90.00 120.00
Element x y z (fractional)
Th  0.000  0.000  0.000
Hg  0.667  0.333  0.313
Pb  0.333  0.667  0.578

---

No. 2
For Rb2Cd3SnAs4, a structure optimized by DFT (GGA-PBE) gives the theoretical powder diffractogram in this record (λ = 1.5418 Å (Cu Kα)).
Peak positions follow from Bragg's law for the DFT cell and can differ from measured ones.

Peak list (10 most intense, 10° ≤ 2θ ≤ 90°, in order of rising 2θ)
- 2θ 10.28, 8.604 Å, I 54.6
- 2θ 22.74, 3.910 Å, I 25.2
- 2θ 25.00, 3.562 Å, I 100.0
- 2θ 25.09, 3.549 Å, I 22.2
- 2θ 30.90, 2.894 Å, I 92.6
- 2θ 31.19, 2.868 Å, I 36.5
- 2θ 38.93, 2.313 Å, I 58.9
- 2θ 39.86, 2.262 Å, I 38.3
- 2θ 39.97, 2.256 Å, I 73.5
- 2θ 51.46, 1.776 Å, I 40.4

Cell and atoms:
Lattice parameters (Å, degrees): 9.701 9.701 7.807 113.51 113.51 26.97
Element x y z (fractional)
Rb  0.000  0.000  0.000
Rb  0.505  0.505  0.494
Cd  0.324  0.324  0.635
Cd  0.706  0.706  0.380
Cd  0.826  0.826  0.167
Sn  0.195  0.195  0.845
As  0.145  0.145  0.470
As  0.351  0.351  0.009
As  0.647  0.647  0.976
As  0.872  0.872  0.535

---

No. 3
For AcPaCl6, a structure optimized by DFT (GGA-PBE) gives the theoretical powder diffractogram in this record (λ = 1.5418 Å (Cu Kα)).
Peak positions follow from Bragg's law for the DFT cell and can differ from measured ones.

Peak list (10 most intense, 10° ≤ 2θ ≤ 90°, in order of rising 2θ)
- 2θ 14.66, 6.042 Å, I 77.3
- 2θ 17.32, 5.120 Å, I 100.0
- 2θ 21.71, 4.093 Å, I 53.3
- 2θ 29.80, 2.998 Å, I 23.1
- 2θ 29.88, 2.990 Å, I 23.3
- 2θ 30.24, 2.956 Å, I 54.8
- 2θ 31.66, 2.826 Å, I 24.4
- 2θ 35.05, 2.560 Å, I 19.1
- 2θ 44.28, 2.046 Å, I 28.2
- 2θ 44.41, 2.040 Å, I 18.4

Cell and atoms:
Lattice parameters (Å, degrees): 7.019 7.019 7.120 97.49 97.49 118.81
Element x y z (fractional)
Ac  0.000  0.000  0.000
Pa  0.500  0.500  0.500
Cl  0.119  0.422  0.251
Cl  0.243  0.243  0.732
Cl  0.422  0.119  0.251
Cl  0.578  0.881  0.749
Cl  0.757  0.757  0.268
Cl  0.881  0.578  0.749

---

No. 4
For Sr2ScO3, a structure optimized by DFT (GGA-PBE) gives the theoretical powder diffractogram in this record (λ = 1.5418 Å (Cu Kα)).
Peak positions follow from Bragg's law for the DFT cell and can differ from measured ones.

Peak list (10 most intense, 10° ≤ 2θ ≤ 90°, in order of rising 2θ)
- 2θ 30.70, 2.912 Å, I 71.3
- 2θ 31.42, 2.847 Å, I 64.0
- 2θ 34.21, 2.621 Å, I 61.1
- 2θ 36.89, 2.436 Å, I 100.0
- 2θ 51.18, 1.785 Å, I 34.3
- 2θ 51.21, 1.784 Å, I 33.5
- 2θ 52.23, 1.751 Å, I 15.6
- 2θ 62.23, 1.492 Å, I 22.0
- 2θ 63.49, 1.465 Å, I 18.9
- 2θ 65.58, 1.423 Å, I 16.3

Cell and atoms:
Lattice parameters (Å, degrees): 6.110 6.110 6.781 106.05 106.05 50.80
Element x y z (fractional)
Sr  0.167  0.171  0.085
Sr  0.171  0.167  0.585
Sr  0.829  0.833  0.415
Sr  0.833  0.829  0.915
Sc  0.468  0.532  0.750
Sc  0.532  0.468  0.250
O  0.077  0.923  0.750
O  0.356  0.365  0.429
O  0.365  0.356  0.929
O  0.635  0.644  0.071
O  0.644  0.635  0.571
O  0.923  0.077  0.250

---

No. 5
For Ti6NbBi3, a structure optimized by DFT (GGA-PBE) gives the theoretical powder diffractogram in this record (λ = 1.5418 Å (Cu Kα)).
Peak positions follow from Bragg's law for the DFT cell and can differ from measured ones.

Peak list (10 most intense, 10° ≤ 2θ ≤ 90°, in order of rising 2θ)
- 2θ 18.57, 4.779 Å, I 80.4
- 2θ 25.84, 3.448 Å, I 85.7
- 2θ 27.93, 3.194 Å, I 64.8
- 2θ 28.87, 3.093 Å, I 100.0
- 2θ 31.62, 2.830 Å, I 54.6
- 2θ 34.57, 2.595 Å, I 54.3
- 2θ 35.70, 2.515 Å, I 79.6
- 2θ 37.27, 2.412 Å, I 99.3
- 2θ 38.81, 2.320 Å, I 66.3
- 2θ 40.98, 2.203 Å, I 78.2

Cell and atoms:
Lattice parameters (Å, degrees): 8.085 8.085 7.020 90.00 90.00 107.60
Element x y z (fractional)
Ti  0.026  0.483  0.350
Ti  0.173  0.827  0.500
Ti  0.249  0.412  0.006
Ti  0.251  0.749  0.064
Ti  0.412  0.249  0.506
Ti  0.483  0.026  0.850
Ti  0.517  0.974  0.350
Ti  0.588  0.751  0.006
Ti  0.749  0.251  0.564
Ti  0.751  0.588  0.506
Ti  0.827  0.173  0.000
Ti  0.974  0.517  0.850
Nb  0.348  0.652  0.715
Nb  0.652  0.348  0.215
Bi  0.092  0.252  0.660
Bi  0.252  0.092  0.160
Bi  0.414  0.586  0.333
Bi  0.586  0.414  0.833
Bi  0.748  0.908  0.660
Bi  0.908  0.748  0.160

---

No. 6
For Ga2PbO4, a structure optimized by DFT (GGA-PBE) gives the theoretical powder diffractogram in this record (λ = 1.5418 Å (Cu Kα)).
Peak positions follow from Bragg's law for the DFT cell and can differ from measured ones.

Peak list (10 most intense, 10° ≤ 2θ ≤ 90°, in order of rising 2θ)
- 2θ 19.08, 4.652 Å, I 31.8
- 2θ 21.29, 4.174 Å, I 28.3
- 2θ 27.77, 3.213 Å, I 46.2
- 2θ 28.05, 3.181 Å, I 100.0
- 2θ 32.87, 2.725 Å, I 46.8
- 2θ 33.60, 2.667 Å, I 23.5
- 2θ 36.46, 2.464 Å, I 12.8
- 2θ 44.13, 2.052 Å, I 29.6
- 2θ 45.99, 1.973 Å, I 12.9
- 2θ 56.74, 1.622 Å, I 13.0

Cell and atoms:
Lattice parameters (Å, degrees): 8.717 5.451 5.451 121.41 90.00 90.00
Element x y z (fractional)
Ga  0.052  0.173  0.827
Ga  0.448  0.173  0.827
Ga  0.552  0.827  0.173
Ga  0.948  0.827  0.173
Pb  0.250  0.569  0.509
Pb  0.750  0.509  0.569
O  0.000  0.861  0.861
O  0.059  0.530  0.163
O  0.250  0.054  0.670
O  0.441  0.530  0.163
O  0.500  0.861  0.861
O  0.559  0.163  0.530
O  0.750  0.670  0.054
O  0.941  0.163  0.530

---

No. 7
For AcSbAuS, a structure optimized by DFT (GGA-PBE) gives the theoretical powder diffractogram in this record (λ = 1.5418 Å (Cu Kα)).
Peak positions follow from Bragg's law for the DFT cell and can differ from measured ones.

Peak list (10 most intense, 10° ≤ 2θ ≤ 90°, in order of rising 2θ)
- 2θ 23.78, 3.742 Å, I 100.0
- 2θ 29.61, 3.017 Å, I 31.8
- 2θ 30.35, 2.945 Å, I 29.1
- 2θ 33.37, 2.685 Å, I 47.7
- 2θ 37.72, 2.385 Å, I 87.0
- 2θ 45.08, 2.011 Å, I 19.3
- 2θ 49.16, 1.853 Å, I 46.0
- 2θ 54.77, 1.676 Å, I 16.3
- 2θ 60.19, 1.537 Å, I 16.7
- 2θ 68.10, 1.377 Å, I 15.5

Cell and atoms:
Lattice parameters (Å, degrees): 12.098 12.098 12.098 22.74 22.74 22.74
Element x y z (fractional)
Ac  0.110  0.110  0.110
Ac  0.890  0.890  0.890
Sb  0.295  0.295  0.295
Sb  0.705  0.705  0.705
Au  0.378  0.378  0.378
Au  0.622  0.622  0.622
S  0.197  0.197  0.197
S  0.803  0.803  0.803

---

No. 8
For V2Ni3, a structure optimized by DFT (GGA-PBE) gives the theoretical powder diffractogram in this record (λ = 1.5418 Å (Cu Kα)).
Peak positions follow from Bragg's law for the DFT cell and can differ from measured ones.

Peak list (10 most intense, 10° ≤ 2θ ≤ 90°, in order of rising 2θ)
- 2θ 15.95, 5.556 Å, I 21.4
- 2θ 39.88, 2.261 Å, I 37.1
- 2θ 40.34, 2.236 Å, I 25.3
- 2θ 42.44, 2.130 Å, I 91.5
- 2θ 42.87, 2.110 Å, I 100.0
- 2θ 44.80, 2.023 Å, I 70.4
- 2θ 44.93, 2.017 Å, I 52.4
- 2θ 49.01, 1.859 Å, I 31.1
- 2θ 52.17, 1.753 Å, I 42.9
- 2θ 85.51, 1.136 Å, I 31.0

Cell and atoms:
Lattice parameters (Å, degrees): 6.476 6.476 6.476 135.70 61.84 139.14
Element x y z (fractional)
V  0.180  0.173  0.353
V  0.320  0.673  0.993
V  0.680  0.327  0.007
V  0.820  0.827  0.647
Ni  0.100  0.631  0.731
Ni  0.250  0.250  0.000
Ni  0.400  0.131  0.531
Ni  0.600  0.869  0.469
Ni  0.750  0.750  0.000
Ni  0.900  0.369  0.269

---

No. 9
For Sr8GaPb2, a structure optimized by DFT (GGA-PBE) gives the theoretical powder diffractogram in this record (λ = 1.5418 Å (Cu Kα)).
Peak positions follow from Bragg's law for the DFT cell and can differ from measured ones.

Peak list (10 most intense, 10° ≤ 2θ ≤ 90°, in order of rising 2θ)
- 2θ 16.80, 5.277 Å, I 26.2
- 2θ 19.05, 4.659 Å, I 25.9
- 2θ 27.10, 3.290 Å, I 22.5
- 2θ 27.47, 3.247 Å, I 100.0
- 2θ 28.13, 3.172 Å, I 36.9
- 2θ 29.72, 3.006 Å, I 78.6
- 2θ 30.96, 2.889 Å, I 78.8
- 2θ 31.62, 2.829 Å, I 67.0
- 2θ 34.37, 2.610 Å, I 36.0
- 2θ 58.30, 1.583 Å, I 26.0

Cell and atoms:
Lattice parameters (Å, degrees): 10.673 10.673 7.911 106.60 106.60 31.41
Element x y z (fractional)
Sr  0.027  0.027  0.292
Sr  0.206  0.206  0.799
Sr  0.344  0.344  0.546
Sr  0.406  0.406  0.070
Sr  0.594  0.594  0.930
Sr  0.656  0.656  0.454
Sr  0.794  0.794  0.201
Sr  0.973  0.973  0.708
Ga  0.500  0.500  0.500
Pb  0.187  0.187  0.212
Pb  0.813  0.813  0.788

---

No. 10
For CsNa3Hg4I12, a structure optimized by DFT (GGA-PBE) gives the theoretical powder diffractogram in this record (λ = 1.5418 Å (Cu Kα)).
Peak positions follow from Bragg's law for the DFT cell and can differ from measured ones.

Peak list (10 most intense, 10° ≤ 2θ ≤ 90°, in order of rising 2θ)
- 2θ 14.13, 6.269 Å, I 38.9
- 2θ 17.72, 5.006 Å, I 53.0
- 2θ 18.60, 4.769 Å, I 67.9
- 2θ 20.94, 4.243 Å, I 100.0
- 2θ 21.48, 4.137 Å, I 43.2
- 2θ 23.33, 3.812 Å, I 49.3
- 2θ 28.42, 3.141 Å, I 37.0
- 2θ 34.16, 2.625 Å, I 36.9
- 2θ 35.40, 2.536 Å, I 35.3
- 2θ 46.37, 1.958 Å, I 39.5

Cell and atoms:
Lattice parameters (Å, degrees): 10.500 10.500 10.500 104.78 104.78 104.78
Element x y z (fractional)
Cs  0.000  0.000  0.000
Na  0.000  0.554  0.446
Na  0.446  0.000  0.554
Na  0.554  0.446  0.000
Hg  0.064  0.500  0.936
Hg  0.500  0.500  0.500
Hg  0.500  0.936  0.064
Hg  0.936  0.064  0.500
I  0.057  0.671  0.776
I  0.104  0.896  0.500
I  0.224  0.329  0.943
I  0.329  0.943  0.224
I  0.334  0.666  0.500
I  0.500  0.104  0.896
I  0.500  0.334  0.666
I  0.666  0.500  0.334
I  0.671  0.776  0.057
I  0.776  0.057  0.671
I  0.896  0.500  0.104
I  0.943  0.224  0.329

---

No. 11
For SrAcBiO4, a structure optimized by DFT (GGA-PBE) gives the theoretical powder diffractogram in this record (λ = 1.5418 Å (Cu Kα)).
Peak positions follow from Bragg's law for the DFT cell and can differ from measured ones.

Peak list (10 most intense, 10° ≤ 2θ ≤ 90°, in order of rising 2θ)
- 2θ 14.50, 6.109 Å, I 52.5
- 2θ 14.98, 5.914 Å, I 54.8
- 2θ 27.97, 3.191 Å, I 76.9
- 2θ 28.49, 3.133 Å, I 33.7
- 2θ 28.74, 3.106 Å, I 100.0
- 2θ 29.24, 3.054 Å, I 55.3
- 2θ 30.22, 2.957 Å, I 52.7
- 2θ 34.32, 2.613 Å, I 46.8
- 2θ 45.53, 1.992 Å, I 34.1
- 2θ 49.66, 1.836 Å, I 66.8

Cell and atoms:
Lattice parameters (Å, degrees): 7.349 7.349 7.349 121.19 117.92 90.79
Element x y z (fractional)
Sr  0.372  0.122  0.250
Sr  0.628  0.878  0.750
Ac  0.000  0.500  0.500
Ac  0.500  0.500  0.000
Bi  0.000  0.000  0.500
Bi  0.000  0.500  0.000
O  0.215  0.743  0.472
O  0.228  0.257  0.972
O  0.235  0.257  0.523
O  0.235  0.712  0.977
O  0.765  0.288  0.023
O  0.765  0.743  0.477
O  0.772  0.743  0.028
O  0.785  0.257  0.528

---

No. 12
For Co2RhS4, a structure optimized by DFT (GGA-PBE) gives the theoretical powder diffractogram in this record (λ = 1.5418 Å (Cu Kα)).
Peak positions follow from Bragg's law for the DFT cell and can differ from measured ones.

Peak list (10 most intense, 10° ≤ 2θ ≤ 90°, in order of rising 2θ)
- 2θ 16.20, 5.470 Å, I 31.6
- 2θ 26.57, 3.354 Å, I 16.0
- 2θ 31.24, 2.863 Å, I 100.0
- 2θ 31.33, 2.855 Å, I 28.0
- 2θ 37.94, 2.372 Å, I 62.4
- 2θ 49.99, 1.825 Å, I 28.9
- 2θ 54.55, 1.682 Å, I 15.5
- 2θ 54.74, 1.677 Å, I 61.9
- 2θ 54.92, 1.672 Å, I 15.6
- 2θ 81.10, 1.186 Å, I 14.0

Cell and atoms:
Lattice parameters (Å, degrees): 6.708 6.708 6.708 120.21 119.79 90.00
Element x y z (fractional)
Co  0.000  0.000  0.500
Co  0.000  0.500  0.000
Co  0.375  0.125  0.250
Co  0.625  0.875  0.750
Rh  0.000  0.500  0.500
Rh  0.500  0.500  0.000
S  0.234  0.250  0.984
S  0.234  0.750  0.484
S  0.240  0.242  0.503
S  0.240  0.737  0.997
S  0.760  0.263  0.003
S  0.760  0.758  0.497
S  0.766  0.250  0.516
S  0.766  0.750  0.016